[1]
For K2NiF4, the GGA+U geometry in the Materials Project gives the computed PXRD pattern in this record (Cu Ka).

Most intense lines, 10° ≤ 2θ ≤ 90°, by angle:
two_theta	I_rel
13.4	83.3
22.8	27.3
29.9	100.0
31.0	95.0
40.7	27.0
41.0	37.0
44.5	75.1
52.3	24.7
54.5	34.2
62.1	35.6

Unit cell a=7.201 b=7.201 c=7.201 alpha=147.13 beta=147.13 gamma=47.17
Fractional coordinates of all 7 atoms:
K: 0.145 0.145 0.000
K: 0.855 0.855 0.000
Ni: 0.500 0.500 0.000
F: 0.000 0.500 0.500
F: 0.346 0.346 0.000
F: 0.500 0.000 0.500
F: 0.654 0.654 0.000



[2]
For KRb2NiF6, the GGA+U geometry in the Materials Project gives the computed PXRD pattern in this record (Cu Ka).

Most intense lines, 10° ≤ 2θ ≤ 90°, by angle:
two_theta	I_rel
17.3	9.2
28.4	100.0
34.9	19.3
40.6	44.4
50.2	35.7
58.7	25.1
66.5	19.8
70.2	4.6
73.8	7.5
80.8	21.0

Unit cell a=6.292 b=6.292 c=6.292 alpha=60.00 beta=60.00 gamma=60.00
Fractional coordinates of all 10 atoms:
K: 0.000 0.000 0.000
Rb: 0.250 0.250 0.250
Rb: 0.750 0.750 0.750
Ni: 0.500 0.500 0.500
F: 0.284 0.284 0.716
F: 0.284 0.716 0.284
F: 0.284 0.716 0.716
F: 0.716 0.284 0.284
F: 0.716 0.284 0.716
F: 0.716 0.716 0.284



[3]
For K3V2P2O8F3, the GGA+U geometry in the Materials Project gives the computed PXRD pattern in this record (Cu Ka).

Most intense lines, 10° ≤ 2θ ≤ 90°, by angle:
two_theta	I_rel
15.0	22.7
22.8	18.8
26.4	47.7
27.2	48.8
31.2	100.0
38.3	16.8
43.7	17.5
46.2	17.8
56.2	22.3
65.4	23.1

Unit cell a=7.501 b=7.501 c=9.263 alpha=90.00 beta=90.00 gamma=76.26
Fractional coordinates of all 36 atoms:
K: 0.028 0.972 0.500
K: 0.285 0.715 0.274
K: 0.361 0.639 0.659
K: 0.639 0.361 0.159
K: 0.715 0.285 0.774
K: 0.972 0.028 0.000
V: 0.072 0.561 0.984
V: 0.439 0.928 0.984
V: 0.561 0.072 0.484
V: 0.928 0.439 0.484
P: 0.244 0.245 0.737
P: 0.245 0.244 0.237
P: 0.755 0.756 0.737
P: 0.756 0.755 0.237
O: 0.067 0.268 0.645
O: 0.071 0.263 0.332
O: 0.232 0.415 0.140
O: 0.233 0.418 0.832
O: 0.263 0.071 0.832
O: 0.268 0.067 0.145
O: 0.415 0.232 0.640
O: 0.418 0.233 0.332
O: 0.582 0.767 0.832
O: 0.585 0.768 0.140
O: 0.732 0.933 0.645
O: 0.737 0.929 0.332
O: 0.767 0.582 0.332
O: 0.768 0.585 0.640
O: 0.929 0.737 0.832
O: 0.933 0.732 0.145
F: 0.099 0.607 0.483
F: 0.258 0.742 0.986
F: 0.393 0.901 0.483
F: 0.607 0.099 0.983
F: 0.742 0.258 0.486
F: 0.901 0.393 0.983



[4]
For KRb2WO3F3, the GGA+U geometry in the Materials Project gives the computed PXRD pattern in this record (Cu Ka).

Most intense lines, 10° ≤ 2θ ≤ 90°, by angle:
two_theta	I_rel
16.8	100.0
27.5	73.8
27.6	80.5
27.8	76.1
39.0	25.9
39.4	26.4
39.9	24.6
48.5	31.4
48.8	31.8
49.1	27.0

Unit cell a=6.498 b=6.466 c=6.428 alpha=60.53 beta=60.02 gamma=59.45
Fractional coordinates of all 10 atoms:
K: 0.000 0.000 0.000
Rb: 0.244 0.244 0.256
Rb: 0.744 0.744 0.756
W: 0.485 0.485 0.515
O: 0.289 0.289 0.711
O: 0.316 0.722 0.684
O: 0.722 0.316 0.278
F: 0.281 0.721 0.279
F: 0.721 0.281 0.719
F: 0.721 0.721 0.279